Record 1
The following is a theoretical X-ray powder pattern of Ac4Cd3Hg. It was derived from a DFT-relaxed cell (GGA-PBE, Alexandria), using Cu Kα.
Neutral-atom scattering factors, no anomalous dispersion.

Crystal structure
Cell lengths 4.0683, 4.0683, 16.2831 Å; angles 90.00, 90.00, 90.00 degrees
Space group P4/mmm (No. 123)
Unique sites:
Ac  0.0000  0.0000  0.1237 (multiplicity 2)
Ac  0.0000  0.0000  0.3744 (multiplicity 2)
Cd  0.5000  0.5000  0.2498 (multiplicity 2)
Cd  0.5000  0.5000  0.5000 (multiplicity 1)
Hg  0.5000  0.5000  0.0000 (multiplicity 1)

Top 10 peaks for 10° ≤ 2θ ≤ 90°, by angle:
index  2θ/deg  I (rel.)
1 0 0  21.8  6
1 1 0  31.1  100
1 1 4  38.3  2
2 0 0  44.5  19
2 1 0  50.1  3
2 1 4  55.3  40
2 2 0  64.8  12
3 0 0  69.3  2
3 1 0  73.6  17
2 2 8  82.0  4

Record 2
The following is a theoretical X-ray powder pattern of AcCd4Hg6. It was derived from a DFT-relaxed cell (GGA-PBE, Alexandria), using Cu Kα.
Neutral-atom scattering factors, no anomalous dispersion.

Crystal structure
Cell lengths 8.2214, 8.2214, 4.8191 Å; angles 90.00, 90.00, 120.00 degrees
Space group P-6 (No. 174)
Unique sites:
Ac  0.0000  0.0000  0.0000 (multiplicity 1)
Cd  0.1622  0.7416  0.5000 (multiplicity 3)
Cd  0.6667  0.3333  0.0000 (multiplicity 1)
Hg  0.0781  0.4727  0.0000 (multiplicity 3)
Hg  0.3883  0.1642  0.5000 (multiplicity 3)

Top 10 peaks for 10° ≤ 2θ ≤ 90°, by angle:
index  2θ/deg  I (rel.)
1 1 1  28.5  32
2 0 1  31.2  100
2 1 0  33.3  52
0 0 2  37.3  41
2 1 1  38.3  78
3 0 1  42.5  16
2 1 2  50.9  32
1 4 0  59.5  22
3 2 1  59.8  17
1 4 2  72.4  25

Record 3
The following is a theoretical X-ray powder pattern of Ac4CdHg2. It was derived from a DFT-relaxed cell (GGA-PBE, Alexandria), using Cu Kα.
Neutral-atom scattering factors, no anomalous dispersion.

Crystal structure
Cell lengths 5.6938, 5.6938, 27.3132 Å; angles 90.00, 90.00, 120.00 degrees
Space group R-3m (No. 166, hexagonal axes)
Unique sites:
Ac  0.0000  0.0000  0.1203 (multiplicity 6)
Ac  0.0000  0.0000  0.3719 (multiplicity 6)
Cd  0.0000  0.0000  0.5000 (multiplicity 3)
Hg  0.0000  0.0000  0.2481 (multiplicity 6)

Top 10 peaks for 10° ≤ 2θ ≤ 90°, by angle:
index  2θ/deg  I (rel.)
0 1 2  19.1  13
1 0 4  22.2  16
1 1 0  31.4  100
0 1 8  31.9  94
2 0 8  45.4  36
3 0 0  55.9  20
1 2 8  56.2  38
1 0 16  57.1  17
3 1 8  74.8  17
2 1 16  75.5  15

Record 4
The following is a theoretical X-ray powder pattern of Ac2Cd6Hg3. It was derived from a DFT-relaxed cell (GGA-PBE, Alexandria), using Cu Kα.
Neutral-atom scattering factors, no anomalous dispersion.

Crystal structure
Cell lengths 8.6192, 8.6192, 4.6647 Å; angles 90.00, 90.00, 120.00 degrees
Space group P-62m (No. 189)
Unique sites:
Ac  0.3333  0.6667  0.0000 (multiplicity 2)
Cd  0.0000  0.2715  0.5000 (multiplicity 3)
Cd  0.0000  0.8038  0.0000 (multiplicity 3)
Hg  0.0000  0.6009  0.5000 (multiplicity 3)

Top 10 peaks for 10° ≤ 2θ ≤ 90°, by angle:
index  2θ/deg  I (rel.)
1 1 1  28.2  100
2 0 1  30.7  29
2 1 0  31.7  30
3 0 0  36.1  31
2 1 1  37.2  76
0 0 2  38.6  32
3 1 0  43.7  25
3 0 2  53.9  20
3 1 2  59.7  20
4 1 1  60.2  19

Record 5
The following is a theoretical X-ray powder pattern of AcCd4Hg. It was derived from a DFT-relaxed cell (GGA-PBE, Alexandria), using Cu Kα.
Neutral-atom scattering factors, no anomalous dispersion.

Crystal structure
Cell lengths 5.1389, 5.2392, 6.9136 Å; angles 97.53, 90.21, 119.34 degrees
Space group P-1 (No. 2)
Unique sites:
Ac  0.0000  0.0000  0.0000 (multiplicity 1)
Cd  0.3076  0.6181  0.7282 (multiplicity 2)
Cd  0.3642  0.7263  0.2711 (multiplicity 2)
Hg  0.0000  0.0000  0.5000 (multiplicity 1)

Top 10 peaks for 10° ≤ 2θ ≤ 90°, by angle:
index  2θ/deg  I (rel.)
1 0 0  19.9  19
0 1 -2  30.3  42
1 0 -2  31.7  40
1 -1 2  31.8  40
-1 1 2  34.2  31
1 0 2  34.3  30
1 -2 0  34.5  100
2 -1 0  34.9  56
0 1 2  35.3  30
1 1 -4  60.8  19

Record 6
The following is a theoretical X-ray powder pattern of AcCd3Hg4. It was derived from a DFT-relaxed cell (GGA-PBE, Alexandria), using Cu Kα.
Neutral-atom scattering factors, no anomalous dispersion.

Crystal structure
Cell lengths 10.1275, 8.1521, 5.0619 Å; angles 90.00, 90.00, 90.00 degrees
Space group Pmma (No. 51)
Unique sites:
Ac  0.0000  0.0000  0.0000 (multiplicity 2)
Cd  0.0000  0.5000  0.0000 (multiplicity 2)
Cd  0.2500  0.0000  0.4984 (multiplicity 2)
Cd  0.2500  0.5000  0.4928 (multiplicity 2)
Hg  0.0000  0.2721  0.5000 (multiplicity 4)
Hg  0.2500  0.2720  0.9940 (multiplicity 4)

Top 10 peaks for 10° ≤ 2θ ≤ 90°, by angle:
index  2θ/deg  I (rel.)
2 2 1  33.3  100
4 0 0  35.5  44
0 4 0  44.5  10
4 0 2  51.0  16
4 4 0  58.1  18
6 2 1  62.3  33
4 4 2  69.9  10
2 6 1  74.7  7
6 2 3  84.6  7
8 0 2  85.8  7

Record 7
The following is a theoretical X-ray powder pattern of AcCd2Hg3. It was derived from a DFT-relaxed cell (GGA-PBE, Alexandria), using Cu Kα.
Neutral-atom scattering factors, no anomalous dispersion.

Crystal structure
Cell lengths 6.7590, 6.7590, 25.1107 Å; angles 90.00, 90.00, 120.00 degrees
Space group R-3m (No. 166, hexagonal axes)
Unique sites:
Ac  0.0000  0.0000  0.2064 (multiplicity 6)
Cd  0.0000  0.0000  0.0000 (multiplicity 3)
Cd  0.0000  0.5000  0.0000 (multiplicity 9)
Hg  0.0155  0.5077  0.2353 (multiplicity 18)

Top 10 peaks for 10° ≤ 2θ ≤ 90°, by angle:
index  2θ/deg  I (rel.)
0 2 1  30.8  19
2 0 2  31.4  45
0 0 9  32.1  32
0 2 4  33.8  100
2 0 5  35.5  56
2 0 8  42.2  20
2 2 0  54.3  36
0 2 13  57.1  14
2 2 9  64.5  25
4 0 4  65.5  18

Record 8
The following is a theoretical X-ray powder pattern of AcCdHg6. It was derived from a DFT-relaxed cell (GGA-PBE, Alexandria), using Cu Kα.
Neutral-atom scattering factors, no anomalous dispersion.

Crystal structure
Cell lengths 5.1325, 7.4605, 11.3782 Å; angles 90.00, 90.00, 90.00 degrees
Space group Amm2 (No. 38)
Unique sites:
Ac  0.0000  0.0000  0.0000 (multiplicity 2)
Cd  0.5000  0.0000  0.2435 (multiplicity 2)
Hg  0.0000  0.0000  0.4494 (multiplicity 2)
Hg  0.0000  0.2235  0.7310 (multiplicity 4)
Hg  0.5000  0.0000  0.8010 (multiplicity 2)
Hg  0.5000  0.2075  0.5308 (multiplicity 4)

Top 10 peaks for 10° ≤ 2θ ≤ 90°, by angle:
index  2θ/deg  I (rel.)
0 2 2  28.6  9
0 0 4  31.4  20
1 1 3  31.7  15
1 2 2  33.6  100
2 0 0  35.0  29
1 0 4  36.1  17
2 0 4  47.7  13
2 4 0  61.5  8
3 2 2  61.9  18
2 3 5  66.6  8